Structure and calculated PXRD pattern of MgP2WO7 (a cell relaxed with GGA+U; Cu Kα).
Lines closer than 0.1° are merged.

Structure:
Unit cell a=7.175 b=8.710 c=9.677 alpha=90.00 beta=105.72 gamma=90.00
Fractional coordinates of all 44 atoms:
Mg (0.187, 0.072, 0.304)
Mg (0.187, 0.428, 0.804)
Mg (0.813, 0.572, 0.196)
Mg (0.813, 0.928, 0.696)
P (0.044, 0.724, 0.973)
P (0.044, 0.776, 0.473)
P (0.410, 0.742, 0.726)
P (0.410, 0.758, 0.226)
P (0.590, 0.242, 0.774)
P (0.590, 0.258, 0.274)
P (0.956, 0.224, 0.527)
P (0.956, 0.276, 0.027)
W (0.248, 0.055, 0.883)
W (0.248, 0.445, 0.383)
W (0.752, 0.555, 0.617)
W (0.752, 0.945, 0.117)
O (0.018, 0.587, 0.873)
O (0.018, 0.913, 0.373)
O (0.027, 0.621, 0.390)
O (0.027, 0.879, 0.890)
O (0.102, 0.232, 0.434)
O (0.102, 0.268, 0.934)
O (0.257, 0.703, 0.077)
O (0.257, 0.797, 0.577)
O (0.361, 0.579, 0.756)
O (0.361, 0.921, 0.256)
O (0.392, 0.248, 0.312)
O (0.392, 0.252, 0.812)
O (0.404, 0.643, 0.341)
O (0.404, 0.857, 0.841)
O (0.596, 0.143, 0.159)
O (0.596, 0.357, 0.659)
O (0.608, 0.748, 0.188)
O (0.608, 0.752, 0.688)
O (0.639, 0.079, 0.744)
O (0.639, 0.421, 0.244)
O (0.743, 0.203, 0.423)
O (0.743, 0.297, 0.923)
O (0.898, 0.732, 0.066)
O (0.898, 0.768, 0.566)
O (0.973, 0.121, 0.110)
O (0.973, 0.379, 0.610)
O (0.982, 0.087, 0.627)
O (0.982, 0.413, 0.127)

Most intense lines, 15° ≤ 2θ ≤ 90°, in order of falling intensity:
25.81 deg, rel. 100, hkl 1 0 2; 28.64 deg, rel. 70, hkl 1 2 -2; 17.11 deg, rel. 51, hkl 1 1 -1; 33.11 deg, rel. 38, hkl 2 2 0; 29.98 deg, rel. 30, hkl 1 1 -3; 33.48 deg, rel. 29, hkl 1 3 0; 29.55 deg, rel. 27, hkl 2 1 -2; 44.09 deg, rel. 26, hkl 0 2 4; 36.28 deg, rel. 26, hkl 1 1 3; 19.90 deg, rel. 25, hkl 1 0 -2